The following is a simulated X-ray diffraction stick pattern of SrV2Zn2O7. It was derived from a DFT-relaxed cell (PBE+U, Alexandria), using Cu Kα.

Largest 12 diffraction maxima, in order of rising 2θ, 2θ from 5° to 70°:
2θ = 11.00°, rel. 37; 2θ = 22.11°, rel. 23; 2θ = 23.53°, rel. 58; 2θ = 26.04°, rel. 11; 2θ = 31.90°, rel. 100; 2θ = 35.03°, rel. 11; 2θ = 39.19°, rel. 8; 2θ = 40.05°, rel. 16; 2θ = 45.73°, rel. 11; 2θ = 52.11°, rel. 14; 2θ = 56.32°, rel. 17; 2θ = 56.90°, rel. 33

Structure:
```
SrV2Zn2O7
1.0
2.8020 1.6178 8.0420
-2.8020 1.6178 8.0420
0.0000 -3.2355 8.0420
Sr V Zn O
1 2 2 7
Direct
0.0000 0.0000 0.0000
0.4254 0.4254 0.4254
0.5746 0.5746 0.5746
0.2614 0.2614 0.2614
0.7386 0.7386 0.7386
0.0864 0.4153 0.6951
0.3049 0.5847 0.9136
0.4153 0.6951 0.0864
0.5000 0.5000 0.5000
0.5847 0.9136 0.3049
0.6951 0.0864 0.4153
0.9136 0.3049 0.5847
```